[1]
# CsHoSeS
Computed PXRD pattern, Cu Kα X-rays. Input: a PBE-relaxed structure.

Structural model:
abc: 4.1600 4.1600 16.3875
angles: 90.00 90.00 120.00
Fractional positions:
Cs (0.3333, 0.6667, 0.2429)
Cs (0.6667, 0.3333, 0.7571)
Ho (0.0000, 0.0000, 0.0000)
Ho (0.0000, 0.0000, 0.5000)
Se (0.3333, 0.6667, 0.5960)
Se (0.6667, 0.3333, 0.4040)
S (0.3333, 0.6667, 0.9129)
S (0.6667, 0.3333, 0.0871)

Most intense lines, 10 to 90 degrees two-theta, sorted by position:
two_theta  d/Å  I (rel.)
10.80  8.194  18.5
21.69  4.097  28.4
27.04  3.298  100.0
29.71  3.007  77.0
33.11  2.705  25.4
41.49  2.176  54.6
43.51  2.080  50.6
49.12  1.855  19.9
51.99  1.759  19.0
78.49  1.219  16.9

=====

[2]
# CsHoSnS3
Computed PXRD pattern, Cu Kα X-rays. Input: a PBE-relaxed structure.

Structural model:
abc: 8.9245 8.9245 11.4288
angles: 90.00 90.00 154.27
Fractional positions:
Cs (0.1908, 0.8092, 0.7500)
Cs (0.8092, 0.1908, 0.2500)
Ho (0.5000, 0.5000, 0.0000)
Ho (0.5000, 0.5000, 0.5000)
Sn (0.1080, 0.8920, 0.2500)
Sn (0.8920, 0.1080, 0.7500)
S (0.1052, 0.8948, 0.0075)
S (0.1052, 0.8948, 0.4925)
S (0.4936, 0.5064, 0.7500)
S (0.5064, 0.4936, 0.2500)
S (0.8948, 0.1052, 0.5075)
S (0.8948, 0.1052, 0.9925)

Most intense lines, 10 to 90 degrees two-theta, sorted by position:
two_theta  d/Å  I (rel.)
10.17  8.700  65.4
18.58  4.776  73.7
21.86  4.066  38.4
27.20  3.279  100.0
27.82  3.207  56.0
28.32  3.152  31.1
31.29  2.859  73.3
34.25  2.618  22.6
41.94  2.154  60.8
56.39  1.632  26.9

=====

[3]
# CsHoTeSe
Computed PXRD pattern, Cu Kα X-rays. Input: a PBE-relaxed structure.

Structural model:
abc: 4.3745 4.3745 17.2790
angles: 90.00 90.00 120.00
Fractional positions:
Cs (0.3333, 0.6667, 0.2373)
Cs (0.6667, 0.3333, 0.7627)
Ho (0.0000, 0.0000, 0.0000)
Ho (0.0000, 0.0000, 0.5000)
Te (0.3333, 0.6667, 0.6013)
Te (0.6667, 0.3333, 0.3987)
Se (0.3333, 0.6667, 0.9136)
Se (0.6667, 0.3333, 0.0864)

Most intense lines, 10 to 90 degrees two-theta, sorted by position:
two_theta  d/Å  I (rel.)
10.24  8.639  24.8
25.68  3.470  63.6
28.19  3.165  100.0
31.41  2.848  30.3
39.30  2.293  49.6
41.28  2.187  55.8
50.74  1.799  19.2
58.30  1.583  15.6
67.39  1.390  16.3
73.92  1.282  15.5

=====

[4]
# CsHoZnTeSe2
Computed PXRD pattern, Cu Kα X-rays. Input: a PBE-relaxed structure.

Structural model:
abc: 8.7198 8.7198 11.4215
angles: 90.00 90.00 151.88
Fractional positions:
Cs (0.2365, 0.7635, 0.7500)
Cs (0.7635, 0.2365, 0.2500)
Ho (0.0000, 0.0000, 0.0000)
Ho (0.0000, 0.0000, 0.5000)
Zn (0.4709, 0.5291, 0.2500)
Zn (0.5291, 0.4709, 0.7500)
Te (0.0722, 0.9278, 0.2500)
Te (0.9278, 0.0722, 0.7500)
Se (0.3933, 0.6067, 0.0670)
Se (0.3933, 0.6067, 0.4330)
Se (0.6067, 0.3933, 0.5670)
Se (0.6067, 0.3933, 0.9330)

Most intense lines, 10 to 90 degrees two-theta, sorted by position:
two_theta  d/Å  I (rel.)
10.46  8.459  88.2
18.75  4.733  31.2
27.47  3.247  100.0
30.69  2.913  48.2
31.33  2.855  33.1
35.50  2.529  27.1
37.49  2.399  41.8
42.69  2.118  30.9
46.07  1.970  29.9
48.04  1.894  32.4

=====

[5]
# CsNb6I11
Computed PXRD pattern, Cu Kα X-rays. Input: a PBE-relaxed structure.

Structural model:
abc: 11.3388 11.3388 12.1803
angles: 90.00 90.00 120.00
Fractional positions:
Cs (0.0000, 0.0000, 0.2500)
Cs (0.0000, 0.0000, 0.7500)
Nb (0.1932, 0.5217, 0.3471)
Nb (0.1932, 0.6715, 0.1529)
Nb (0.3285, 0.5217, 0.1529)
Nb (0.3285, 0.8068, 0.3471)
Nb (0.4783, 0.6715, 0.3471)
Nb (0.4783, 0.8068, 0.1529)
Nb (0.5217, 0.1932, 0.6529)
Nb (0.5217, 0.3285, 0.8471)
Nb (0.6715, 0.1932, 0.8471)
Nb (0.6715, 0.4783, 0.6529)
Nb (0.8068, 0.3285, 0.6529)
Nb (0.8068, 0.4783, 0.8471)
I (0.0000, 0.2956, 0.5000)
I (0.0000, 0.7044, 0.0000)
I (0.0305, 0.3719, 0.1584)
I (0.0305, 0.6586, 0.3416)
I (0.2956, 0.0000, 0.5000)
I (0.2956, 0.2956, 0.0000)
I (0.3333, 0.6667, 0.5438)
I (0.3333, 0.6667, 0.9562)
I (0.3414, 0.3719, 0.3416)
I (0.3414, 0.9695, 0.1584)
I (0.3719, 0.0305, 0.8416)
I (0.3719, 0.3414, 0.6584)
I (0.6281, 0.6586, 0.1584)
I (0.6281, 0.9695, 0.3416)
I (0.6586, 0.0305, 0.6584)
I (0.6586, 0.6281, 0.8416)
I (0.6667, 0.3333, 0.0438)
I (0.6667, 0.3333, 0.4562)
I (0.7044, 0.0000, 0.0000)
I (0.7044, 0.7044, 0.5000)
I (0.9695, 0.3414, 0.8416)
I (0.9695, 0.6281, 0.6584)

Most intense lines, 10 to 90 degrees two-theta, sorted by position:
two_theta  d/Å  I (rel.)
11.58  7.645  100.0
23.27  3.822  24.4
27.01  3.301  91.6
27.24  3.273  95.5
28.16  3.169  25.3
38.06  2.364  24.0
38.74  2.324  75.8
40.73  2.215  26.6
42.80  2.113  49.9
44.64  2.030  19.3

=====

[6]
# CsNdI3
Computed PXRD pattern, Cu Kα X-rays. Input: a PBE-relaxed structure.

Structural model:
abc: 6.2563 6.2563 6.2563
angles: 90.00 90.00 90.00
Fractional positions:
Cs (0.0000, 0.0000, 0.0000)
Nd (0.5000, 0.5000, 0.5000)
I (0.0000, 0.5000, 0.5000)
I (0.5000, 0.0000, 0.5000)
I (0.5000, 0.5000, 0.0000)

Most intense lines, 10 to 90 degrees two-theta, sorted by position:
two_theta  d/Å  I (rel.)
14.16  6.256  24.5
20.07  4.424  24.7
24.65  3.612  60.2
28.53  3.128  100.0
31.99  2.798  13.7
40.79  2.212  75.4
48.24  1.886  28.2
50.54  1.806  26.8
66.88  1.399  34.6
74.27  1.277  25.7

=====

[7]
# CsRbPdI4
Computed PXRD pattern, Cu Kα X-rays. Input: a PBE-relaxed structure.

Structural model:
abc: 5.0812 8.2017 8.3111
angles: 90.00 90.00 90.00
Fractional positions:
Cs (0.0000, 0.0000, 0.0000)
Rb (0.0000, 0.5000, 0.5000)
Pd (0.5000, 0.0000, 0.5000)
I (0.5000, 0.2302, 0.2756)
I (0.5000, 0.2302, 0.7244)
I (0.5000, 0.7698, 0.2756)
I (0.5000, 0.7698, 0.7244)

Most intense lines, 10 to 90 degrees two-theta, sorted by position:
two_theta  d/Å  I (rel.)
10.79  8.202  43.0
17.45  5.081  50.6
20.50  4.332  31.3
23.21  3.833  74.0
27.73  3.217  71.5
27.96  3.191  72.5
30.63  2.919  100.0
35.33  2.541  37.5
35.47  2.531  27.1
47.44  1.916  58.1

=====

[8]
# Cs2ReI2
Computed PXRD pattern, Cu Kα X-rays. Input: a PBE-relaxed structure.

Structural model:
abc: 6.2085 6.2085 8.3616
angles: 90.00 90.00 90.00
Fractional positions:
Cs (0.0000, 0.5000, 0.0000)
Cs (0.5000, 0.0000, 0.0000)
Re (0.0000, 0.0000, 0.5000)
I (0.5000, 0.5000, 0.2563)
I (0.5000, 0.5000, 0.7437)

Most intense lines, 10 to 90 degrees two-theta, sorted by position:
two_theta  d/Å  I (rel.)
17.79  4.985  26.0
22.88  3.887  100.0
25.69  3.468  68.8
28.76  3.104  66.3
29.50  3.028  27.6
38.25  2.353  21.8
38.94  2.313  45.8
41.12  2.195  25.0
47.57  1.911  28.1
52.80  1.734  23.9